Calculated powder X-ray diffraction pattern of UReBr2O6 for Cu Kα, from a structure optimized by DFT (PBE).
Lines closer than 0.1° are merged.

```
data_UReBr2O6
_chemical_formula_sum 'U2 Re2 Br4 O12'
_cell_length_a 11.719
_cell_length_b 5.566
_cell_length_c 5.661
_cell_angle_alpha 90.00
_cell_angle_beta 95.46
_cell_angle_gamma 90.00
_symmetry_space_group_name_H-M 'C 1 2/m 1'
_symmetry_Int_Tables_number 12
_symmetry_space_group_name_Hall '-C 2y'
loop_
_atom_site_label
_atom_site_fract_x
_atom_site_fract_y
_atom_site_fract_z
_atom_site_occupancy
U1 0.000 0.000 0.000 1
Re1 0.000 0.500 0.500 1
Br1 0.244 0.000 0.979 1
O1 0.002 0.251 0.251 1
O2 0.153 0.500 0.528 1
```

Most intense lines, 10° ≤ 2θ ≤ 90°, low angle first:
| 2theta | d [Å] | Rel. int. | hkl |
| --- | --- | --- | --- |
| 15.19 | 5.833 | 65 | 2 0 0 |
| 23.23 | 3.829 | 94 | 1 1 -1 |
| 24.21 | 3.676 | 100 | 1 1 1 |
| 30.66 | 2.916 | 51 | 4 0 0 |
| 31.14 | 2.872 | 38 | 3 1 -1 |
| 31.76 | 2.818 | 35 | 0 0 2 |
| 32.17 | 2.783 | 35 | 0 2 0 |
| 45.83 | 1.980 | 39 | 0 2 2 |

Calculated powder X-ray diffraction pattern of Ca2PmPbO6 for Cu Kα, from a structure optimized by DFT (PBE).
Lines closer than 0.1° are merged.

```
data_Ca2PmPbO6
_chemical_formula_sum 'Ca4 Pm2 Pb2 O12'
_cell_length_a 5.888
_cell_length_b 6.110
_cell_length_c 10.087
_cell_angle_alpha 90.00
_cell_angle_beta 124.34
_cell_angle_gamma 90.00
_symmetry_space_group_name_H-M 'P 1 21/c 1'
_symmetry_Int_Tables_number 14
_symmetry_space_group_name_Hall '-P 2ybc'
loop_
_atom_site_label
_atom_site_fract_x
_atom_site_fract_y
_atom_site_fract_z
_atom_site_occupancy
Ca1 0.226 0.056 0.249 1
Pm1 0.500 0.000 0.000 1
Pb1 0.000 0.000 0.500 1
O1 0.111 0.208 0.921 1
O2 0.215 0.696 0.923 1
O3 0.387 0.078 0.741 1
```

Most intense lines, 10° ≤ 2θ ≤ 90°, low angle first:
| 2theta | d [Å] | Rel. int. | hkl |
| --- | --- | --- | --- |
| 20.96 | 4.239 | 83 | 1 1 -1 |
| 21.34 | 4.164 | 36 | 0 0 2 |
| 29.23 | 3.055 | 33 | 0 2 0 |
| 29.82 | 2.996 | 74 | 1 1 1 |
| 30.35 | 2.945 | 100 | 1 1 -3 |
| 42.66 | 2.120 | 34 | 2 2 -2 |
| 53.27 | 1.720 | 44 | 2 0 2 |
| 54.27 | 1.690 | 17 | 3 1 -5 |

Calculated powder X-ray diffraction pattern of SmPaOs for Cu Kα, from a structure optimized by DFT (PBE).
Lines closer than 0.1° are merged.

```
data_SmPaOs
_chemical_formula_sum 'Sm8 Pa8 Os8'
_cell_length_a 9.413
_cell_length_b 9.893
_cell_length_c 7.134
_cell_angle_alpha 90.00
_cell_angle_beta 90.00
_cell_angle_gamma 90.00
_symmetry_space_group_name_H-M 'C m c e'
_symmetry_Int_Tables_number 64
_symmetry_space_group_name_Hall '-C 2ac 2'
loop_
_atom_site_label
_atom_site_fract_x
_atom_site_fract_y
_atom_site_fract_z
_atom_site_occupancy
Sm1 0.201 0.000 0.000 1
Pa1 0.000 0.210 0.331 1
Os1 0.000 0.057 0.680 1
```

Most intense lines, 10° ≤ 2θ ≤ 90°, low angle first:
| 2theta | d [Å] | Rel. int. | hkl |
| --- | --- | --- | --- |
| 18.85 | 4.707 | 100 | 2 0 0 |
| 31.47 | 2.843 | 89 | 2 0 2 |
| 32.46 | 2.758 | 63 | 3 1 1 |
| 38.24 | 2.353 | 44 | 4 0 0 |
| 38.38 | 2.345 | 58 | 1 3 2 |
| 38.53 | 2.337 | 45 | 0 4 1 |
| 40.16 | 2.245 | 53 | 1 1 3 |
| 43.22 | 2.093 | 65 | 2 4 1 |

Calculated powder X-ray diffraction pattern of Nb2TlPS10 for Cu Kα, from a structure optimized by DFT (PBE).
Lines closer than 0.1° are merged.

```
data_Nb2TlPS10
_chemical_formula_sum 'Nb4 Tl2 P2 S20'
_cell_length_a 7.378
_cell_length_b 7.813
_cell_length_c 13.187
_cell_angle_alpha 90.00
_cell_angle_beta 107.81
_cell_angle_gamma 90.00
_symmetry_space_group_name_H-M 'P 1 c 1'
_symmetry_Int_Tables_number 7
_symmetry_space_group_name_Hall 'P -2yc'
loop_
_atom_site_label
_atom_site_fract_x
_atom_site_fract_y
_atom_site_fract_z
_atom_site_occupancy
Nb1 0.000 0.054 0.000 1
Nb2 0.996 0.058 0.289 1
Tl1 0.604 0.496 0.066 1
P1 0.145 0.387 0.169 1
S1 0.248 0.135 0.188 1
S2 0.249 0.134 0.463 1
S3 0.258 0.113 0.913 1
S4 0.338 0.430 0.714 1
S5 0.744 0.124 0.831 1
S6 0.744 0.126 0.373 1
S7 0.750 0.042 0.102 1
S8 0.936 0.162 0.634 1
S9 0.961 0.386 0.261 1
S10 0.993 0.387 0.009 1
```

Most intense lines, 10° ≤ 2θ ≤ 90°, low angle first:
| 2theta | d [Å] | Rel. int. | hkl |
| --- | --- | --- | --- |
| 12.60 | 7.024 | 30 | 1 0 0 |
| 16.97 | 5.224 | 100 | 1 1 0 |
| 18.13 | 4.894 | 55 | 0 1 2 |
| 22.76 | 3.906 | 42 | 0 2 0 |
| 24.52 | 3.630 | 24 | 1 1 2 |
| 27.84 | 3.205 | 25 | 1 2 -2 |
| 31.90 | 2.805 | 29 | 2 0 -4 |
| 39.57 | 2.278 | 22 | 2 2 -4 |

Calculated powder X-ray diffraction pattern of Dy4GaCu2Ru for Cu Kα, from a structure optimized by DFT (PBE).
Lines closer than 0.1° are merged.

```
data_Dy4GaCu2Ru
_chemical_formula_sum 'Dy12 Ga3 Cu6 Ru3'
_cell_length_a 4.9306
_cell_length_b 4.9306
_cell_length_c 24.1048
_cell_angle_alpha 90.00
_cell_angle_beta 90.00
_cell_angle_gamma 120.00
_symmetry_space_group_name_H-M 'R -3 m'
_symmetry_Int_Tables_number 166
_symmetry_space_group_name_Hall '-R 3 2"'
loop_
_atom_site_label
_atom_site_fract_x
_atom_site_fract_y
_atom_site_fract_z
_atom_site_occupancy
Dy1 0.0000 0.0000 0.1195 1
Dy2 0.0000 0.0000 0.3708 1
Ga1 0.0000 0.0000 0.5000 1
Cu1 0.0000 0.0000 0.2461 1
Ru1 0.0000 0.0000 0.0000 1
```

Most intense lines, 10° ≤ 2θ ≤ 90°, low angle first:
| 2theta | d [Å] | Rel. int. | hkl |
| --- | --- | --- | --- |
| 25.57 | 3.484 | 14 | 1 0 4 |
| 36.47 | 2.464 | 100 | 1 1 0 |
| 52.53 | 1.742 | 17 | 2 0 8 |
| 59.31 | 1.558 | 5 | 2 1 4 |
| 65.61 | 1.423 | 26 | 3 0 0 |
| 65.73 | 1.421 | 7 | 1 0 16 |
| 77.43 | 1.233 | 6 | 2 2 0 |
| 88.81 | 1.102 | 14 | 3 1 8 |

Calculated powder X-ray diffraction pattern of Ba7Na2Pt2 for Cu Kα, from a structure optimized by DFT (PBE).
Lines closer than 0.1° are merged.

```
data_Ba7Na2Pt2
_chemical_formula_sum 'Ba14 Na4 Pt4'
_cell_length_a 13.915
_cell_length_b 9.782
_cell_length_c 8.160
_cell_angle_alpha 90.00
_cell_angle_beta 95.04
_cell_angle_gamma 90.00
_symmetry_space_group_name_H-M 'C 1 2/m 1'
_symmetry_Int_Tables_number 12
_symmetry_space_group_name_Hall '-C 2y'
loop_
_atom_site_label
_atom_site_fract_x
_atom_site_fract_y
_atom_site_fract_z
_atom_site_occupancy
Ba1 0.000 0.000 0.000 1
Ba2 0.062 0.500 0.770 1
Ba3 0.221 0.284 0.233 1
Na1 0.000 0.166 0.500 1
Pt1 0.236 0.000 0.041 1
```

Most intense lines, 10° ≤ 2θ ≤ 90°, low angle first:
| 2theta | d [Å] | Rel. int. | hkl |
| --- | --- | --- | --- |
| 10.88 | 8.129 | 100 | 0 0 1 |
| 12.77 | 6.931 | 60 | 2 0 0 |
| 21.20 | 4.191 | 40 | 0 2 1 |
| 24.06 | 3.699 | 46 | 1 1 -2 |
| 25.71 | 3.465 | 42 | 4 0 0 |
| 28.88 | 3.091 | 46 | 4 0 1 |
| 30.57 | 2.924 | 49 | 2 2 -2 |
| 32.20 | 2.780 | 34 | 2 2 2 |